The following is a simulated XRD peak list of Li2Al8Ag3. It was derived from a crystal structure in Alexandria, relaxed with GGA-PBE, using Cu Kα (λ = 1.5418 Å).
Intensities are scaled so that the largest is 100.

Most intense lines, 10 to 80 degrees two-theta, by angle:
2θ (°), I/Imax, index
14.37, 52, 1 1 0
14.98, 100, 2 0 0
25.75, 27, 3 1 0
33.28, 39, 2 2 -1
33.67, 32, 0 0 2
37.64, 23, 2 0 2
41.76, 36, 1 3 -1
42.05, 48, 1 3 1
42.51, 23, 4 2 -1
43.61, 45, 4 2 1

Atomic structure:
```
data_Li2Al8Ag3
_space_group_name_H-M_alt 'C 1 2/m 1'
_space_group_IT_number 12
_cell_length_a 11.835
_cell_length_b 7.219
_cell_length_c 5.328
_cell_angle_alpha 90.00
_cell_angle_beta 92.42
_cell_angle_gamma 90.00
loop_
_space_group_symop_operation_xyz
'x,y,z'
'-x,-y,-z'
'-x,y,-z'
'x,-y,z'
'x+1/2,y+1/2,z'
'-x+1/2,-y+1/2,-z'
'-x+1/2,y+1/2,-z'
'x+1/2,-y+1/2,z'
loop_
_atom_site_label
_atom_site_fract_x
_atom_site_fract_y
_atom_site_fract_z
Li1 0.189 0.000 0.251
Al1 0.117 0.500 0.973
Al2 0.129 0.317 0.484
Al3 0.190 0.000 0.768
Ag1 0.000 0.000 0.500
Ag2 0.000 0.193 0.000
```

The following is a simulated XRD peak list of LiMgAlAg2. It was derived from a crystal structure in Alexandria, relaxed with GGA-PBE, using Cu Kα (λ = 1.5418 Å).
Intensities are scaled so that the largest is 100.

Most intense lines, 10 to 80 degrees two-theta, by angle:
2θ (°), I/Imax, index
20.21, 52, 1 0 1
25.37, 77, 0 1 1
28.76, 25, 2 0 0
36.61, 18, 1 1 -2
37.90, 100, 2 1 -1
38.29, 84, 1 1 2
41.77, 31, 1 0 -3
44.01, 42, 0 2 0
46.94, 23, 3 0 1
62.28, 18, 1 2 -3

Atomic structure:
```
data_LiMgAlAg2
_space_group_name_H-M_alt 'P 1 21/m 1'
_space_group_IT_number 11
_cell_length_a 6.227
_cell_length_b 4.116
_cell_length_c 6.744
_cell_angle_alpha 90.00
_cell_angle_beta 94.47
_cell_angle_gamma 90.00
loop_
_space_group_symop_operation_xyz
'x,y,z'
'-x,-y,-z'
'-x,y+1/2,-z'
'x,-y+1/2,z'
loop_
_atom_site_label
_atom_site_fract_x
_atom_site_fract_y
_atom_site_fract_z
Li1 0.164 0.250 0.058
Mg1 0.256 0.750 0.763
Al1 0.335 0.250 0.450
Ag1 0.037 0.750 0.346
Ag2 0.441 0.750 0.170
```

The following is a simulated XRD peak list of LiAlAg2Mo. It was derived from a crystal structure in Alexandria, relaxed with GGA-PBE, using Cu Kα (λ = 1.5418 Å).
Intensities are scaled so that the largest is 100.

Most intense lines, 10 to 80 degrees two-theta, by angle:
2θ (°), I/Imax, index
19.13, 11, 0 0 1
20.98, 9, 1 0 0
35.70, 100, 1 1 1
38.83, 21, 0 0 2
42.72, 32, 2 0 0
59.09, 23, 2 0 2
62.00, 10, 2 2 0
68.27, 14, 1 1 3
73.65, 22, 3 1 1
75.61, 11, 2 2 2

Atomic structure:
```
data_LiAlAg2Mo
_space_group_name_H-M_alt 'P 4/m m m'
_space_group_IT_number 123
_space_group_name_Hall '-P 4 2'
_cell_length_a 4.234
_cell_length_b 4.234
_cell_length_c 4.639
_cell_angle_alpha 90.00
_cell_angle_beta 90.00
_cell_angle_gamma 90.00
loop_
_atom_site_label
_atom_site_fract_x
_atom_site_fract_y
_atom_site_fract_z
Li1 0.000 0.000 0.000
Al1 0.500 0.500 0.500
Ag1 0.000 0.500 0.000
Mo1 0.000 0.000 0.500
```

The following is a simulated XRD peak list of SrLiAlAg3. It was derived from a crystal structure in Alexandria, relaxed with GGA-PBE, using Cu Kα (λ = 1.5418 Å).
Intensities are scaled so that the largest is 100.

Most intense lines, 10 to 80 degrees two-theta, by angle:
2θ (°), I/Imax, index
13.94, 36, 0 2 0
19.86, 37, 0 2 1
30.91, 96, 2 2 0
31.73, 100, 0 2 2
39.67, 34, 2 4 0
39.88, 88, 2 0 2
40.34, 36, 0 4 2
40.72, 24, 1 5 1
42.30, 26, 3 1 0
59.84, 24, 2 6 2

Atomic structure:
```
data_SrLiAlAg3
_space_group_name_H-M_alt 'C m c m'
_space_group_IT_number 63
_space_group_name_Hall '-C 2c 2'
_cell_length_a 6.499
_cell_length_b 12.709
_cell_length_c 6.293
_cell_angle_alpha 90.00
_cell_angle_beta 90.00
_cell_angle_gamma 90.00
loop_
_atom_site_label
_atom_site_fract_x
_atom_site_fract_y
_atom_site_fract_z
Sr1 0.000 0.210 0.250
Li1 0.000 0.440 0.250
Al1 0.000 0.134 0.750
Ag1 0.000 0.346 0.750
Ag2 0.218 0.000 0.000
```